(1)
The following is a calculated XRD peak list of ZrAlMo4. It was derived from a cell relaxed with PBE, using CuKα.
Peak positions follow from Bragg's law for the DFT cell and can differ from measured ones.

a b c (Å): 5.386 5.386 8.437
angles (deg): 90.00 90.00 120.00
Positions (direct):
Zr (0.333, 0.667, 0.439)
Zr (0.667, 0.333, 0.561)
Al (0.333, 0.667, 0.068)
Al (0.667, 0.333, 0.932)
Mo (0.000, 0.000, 0.000)
Mo (0.000, 0.000, 0.500)
Mo (0.172, 0.344, 0.759)
Mo (0.172, 0.828, 0.759)
Mo (0.344, 0.172, 0.241)
Mo (0.656, 0.828, 0.759)
Mo (0.828, 0.172, 0.241)
Mo (0.828, 0.656, 0.241)

Principal peaks in the range 10° ≤ 2θ ≤ 90°, in order of falling intensity:
2θ (°)  I_rel
40.12  100
39.71  93
37.34  50
44.39  35
69.86  31
68.66  27
42.88  23
19.03  22

(2)
The following is a calculated XRD peak list of AlN. It was derived from a cell relaxed with PBE, using CuKα.
Peak positions follow from Bragg's law for the DFT cell and can differ from measured ones.

a b c (Å): 3.129 3.129 5.017
angles (deg): 90.00 90.00 120.00
Positions (direct):
Al (0.333, 0.667, 0.000)
Al (0.667, 0.333, 0.500)
N (0.333, 0.667, 0.381)
N (0.667, 0.333, 0.881)

Principal peaks in the range 10° ≤ 2θ ≤ 90°, in order of falling intensity:
2θ (°)  I_rel
33.06  100
37.73  94
35.80  62
59.05  61
65.60  55
71.01  43
49.52  34
72.24  16

(3)
The following is a calculated XRD peak list of AlN. It was derived from a cell relaxed with PBE, using CuKα.
Peak positions follow from Bragg's law for the DFT cell and can differ from measured ones.

a b c (Å): 2.877 2.877 2.877
angles (deg): 60.00 60.00 60.00
Positions (direct):
Al (0.000, 0.000, 0.000)
N (0.500, 0.500, 0.500)

Principal peaks in the range 10° ≤ 2θ ≤ 90°, in order of falling intensity:
2θ (°)  I_rel
44.53  100
64.81  57
38.31  26
82.04  19
77.86  15

(4)
The following is a calculated XRD peak list of AlN. It was derived from a cell relaxed with PBE, using CuKα.
Peak positions follow from Bragg's law for the DFT cell and can differ from measured ones.

a b c (Å): 3.112 3.112 3.112
angles (deg): 60.00 60.00 60.00
Positions (direct):
Al (0.000, 0.000, 0.000)
N (0.750, 0.750, 0.750)

Principal peaks in the range 10° ≤ 2θ ≤ 90°, in order of falling intensity:
2θ (°)  I_rel
35.32  100
59.39  50
71.03  34
41.01  11
88.95  7
74.71  4

(5)
The following is a calculated XRD peak list of AlN. It was derived from a cell relaxed with PBE, using CuKα.
Peak positions follow from Bragg's law for the DFT cell and can differ from measured ones.

a b c (Å): 3.312 3.312 4.188
angles (deg): 90.00 90.00 120.00
Positions (direct):
Al (0.333, 0.667, 0.250)
Al (0.667, 0.333, 0.750)
N (0.333, 0.667, 0.750)
N (0.667, 0.333, 0.250)

Principal peaks in the range 10° ≤ 2θ ≤ 90°, in order of falling intensity:
2θ (°)  I_rel
31.18  100
55.49  63
72.82  52
43.21  48
38.02  39
54.24  34
69.25  10
81.32  9

Which formula does entry 3 have?
AlN

What did the fourth record say?
The following is a calculated XRD peak list of AlN. It was derived from a cell relaxed with PBE, using CuKα.
Peak positions follow from Bragg's law for the DFT cell and can differ from measured ones.

a b c (Å): 3.112 3.112 3.112
angles (deg): 60.00 60.00 60.00
Positions (direct):
Al (0.000, 0.000, 0.000)
N (0.750, 0.750, 0.750)

Principal peaks in the range 10° ≤ 2θ ≤ 90°, in order of falling intensity:
2θ (°)  I_rel
35.32  100
59.39  50
71.03  34
41.01  11
88.95  7
74.71  4